Entry 1:
For CsP2Rh2, a structure optimized by DFT (GGA-PBE) gives the theoretical powder diffraction line list in this record (Cu Kα (weighted mean of Kα1 and Kα2)).
No peak broadening, texture or thermal motion is included.

Crystal structure
a = 3.9627 Å, b = 3.9627 Å, c = 14.5420 Å
α = 90.00°, β = 90.00°, γ = 90.00°
Fractional coordinates of all 10 atoms:
Cs 0.0000 0.0000 0.0000
Cs 0.5000 0.5000 0.5000
P 0.0000 0.0000 0.3366
P 0.0000 0.0000 0.6634
P 0.5000 0.5000 0.1634
P 0.5000 0.5000 0.8366
Rh 0.0000 0.5000 0.2500
Rh 0.0000 0.5000 0.7500
Rh 0.5000 0.0000 0.2500
Rh 0.5000 0.0000 0.7500

Top 6 peaks for 2θ from 5° to 70°, in order of falling intensity:
2θ 34.30, d 2.615, rel. 100; 2θ 29.11, d 3.068, rel. 59; 2θ 24.49, d 3.635, rel. 58; 2θ 49.74, d 1.833, rel. 56; 2θ 12.17, d 7.271, rel. 42; 2θ 45.80, d 1.981, rel. 36



Entry 2:
For GaSiC4N, a structure optimized by DFT (GGA-PBE) gives the theoretical powder diffraction line list in this record (Cu Kα (weighted mean of Kα1 and Kα2)).
No peak broadening, texture or thermal motion is included.

Crystal structure
a = 9.8741 Å, b = 9.8741 Å, c = 13.7516 Å
α = 103.48°, β = 103.48°, γ = 64.39°
Fractional coordinates of all 56 atoms:
Ga 0.0242 0.9532 0.6389
Ga 0.0417 0.7543 0.2107
Ga 0.0468 0.9758 0.8611
Ga 0.2457 0.9583 0.2893
Ga 0.7543 0.0417 0.7107
Ga 0.9532 0.0242 0.1389
Ga 0.9583 0.2457 0.7893
Ga 0.9758 0.0468 0.3611
Si 0.0380 0.6979 0.6854
Si 0.2432 0.7148 0.4103
Si 0.2852 0.7568 0.0897
Si 0.3021 0.9620 0.8146
Si 0.6979 0.0380 0.1854
Si 0.7148 0.2432 0.9103
Si 0.7568 0.2852 0.5897
Si 0.9620 0.3021 0.3146
C 0.0306 0.5416 0.7290
C 0.0759 0.5239 0.3163
C 0.0771 0.4134 0.3660
C 0.1332 0.6237 0.3111
C 0.1419 0.7280 0.6043
C 0.2483 0.6714 0.5413
C 0.2720 0.8581 0.8957
C 0.3286 0.7517 0.9587
C 0.3763 0.8668 0.1889
C 0.3994 0.5592 0.5298
C 0.4134 0.0771 0.8660
C 0.4210 0.5537 0.0518
C 0.4408 0.6006 0.9702
C 0.4463 0.5790 0.4482
C 0.4584 0.9694 0.7710
C 0.4761 0.9241 0.1837
C 0.5239 0.0759 0.8163
C 0.5416 0.0306 0.2290
C 0.5537 0.4210 0.5518
C 0.5592 0.3994 0.0298
C 0.5790 0.4463 0.9482
C 0.5866 0.9229 0.1340
C 0.6006 0.4408 0.4702
C 0.6237 0.1332 0.8111
C 0.6714 0.2483 0.0413
C 0.7280 0.1419 0.1043
C 0.7517 0.3286 0.4587
C 0.8581 0.2720 0.3957
C 0.8668 0.3763 0.6889
C 0.9229 0.5866 0.6340
C 0.9241 0.4761 0.6837
C 0.9694 0.4584 0.2710
N 0.0535 0.1242 0.2530
N 0.1028 0.8162 0.1147
N 0.1242 0.0535 0.7530
N 0.1838 0.8972 0.3853
N 0.8162 0.1028 0.6147
N 0.8758 0.9465 0.2470
N 0.8972 0.1838 0.8853
N 0.9465 0.8758 0.7470

Top 6 peaks for 2θ from 5° to 70°, in order of falling intensity:
2θ 10.05, d 8.802, rel. 100; 2θ 11.01, d 8.033, rel. 76; 2θ 15.50, d 5.716, rel. 46; 2θ 12.90, d 6.865, rel. 19; 2θ 13.40, d 6.610, rel. 19; 2θ 36.66, d 2.451, rel. 13



Entry 3:
For CaTaTiP3O12, a structure optimized by DFT (GGA-PBE) gives the theoretical powder diffraction line list in this record (Cu Kα (weighted mean of Kα1 and Kα2)).
No peak broadening, texture or thermal motion is included.

Crystal structure
a = 8.8507 Å, b = 8.8550 Å, c = 8.8915 Å
α = 90.01°, β = 119.76°, γ = 119.98°
Fractional coordinates of all 36 atoms:
Ca 0.0000 0.0000 0.0000
Ca 0.0014 0.5006 0.5015
Ta 0.2951 0.1474 0.4425
Ta 0.2951 0.6476 0.9428
Ti 0.7127 0.8563 0.5691
Ti 0.7144 0.3574 0.0707
P 0.2148 0.9639 0.7605
P 0.2156 0.7516 0.2612
P 0.5098 0.4640 0.2605
P 0.5097 0.5456 0.7603
P 0.7968 0.0456 0.2606
P 0.7969 0.2511 0.7607
O 0.0286 0.9409 0.7574
O 0.0304 0.5884 0.2592
O 0.1941 0.7768 0.7573
O 0.1942 0.9175 0.2574
O 0.1988 0.7052 0.0822
O 0.1985 0.9936 0.5816
O 0.3399 0.2766 0.2573
O 0.3400 0.5635 0.7570
O 0.3779 0.3844 0.5819
O 0.3779 0.4939 0.0823
O 0.4230 0.1213 0.9330
O 0.4246 0.8034 0.4338
O 0.5888 0.2050 0.5822
O 0.5888 0.8839 0.0824
O 0.6308 0.5094 0.9332
O 0.6310 0.6211 0.4337
O 0.6701 0.7290 0.7576
O 0.6707 0.4418 0.2583
O 0.8124 0.3024 0.9334
O 0.8128 0.0094 0.4338
O 0.8170 0.0879 0.7580
O 0.8169 0.2289 0.2588
O 0.9804 0.0631 0.2568
O 0.9811 0.4174 0.7574

Top 6 peaks for 2θ from 5° to 70°, in order of falling intensity:
2θ 20.06, d 4.427, rel. 100; 2θ 31.81, d 2.813, rel. 77; 2θ 14.11, d 6.277, rel. 68; 2θ 19.95, d 4.450, rel. 58; 2θ 23.51, d 3.783, rel. 48; 2θ 28.44, d 3.138, rel. 34



Entry 4:
For U2SnRh2, a structure optimized by DFT (GGA-PBE) gives the theoretical powder diffraction line list in this record (Cu Kα (weighted mean of Kα1 and Kα2)).
No peak broadening, texture or thermal motion is included.

Crystal structure
a = 7.6459 Å, b = 7.6459 Å, c = 3.5885 Å
α = 90.00°, β = 90.00°, γ = 90.00°
Fractional coordinates of all 10 atoms:
U 0.1687 0.3313 0.0000
U 0.3313 0.8313 0.0000
U 0.6687 0.1687 0.0000
U 0.8313 0.6687 0.0000
Sn 0.0000 0.0000 0.5000
Sn 0.5000 0.5000 0.5000
Rh 0.1356 0.6356 0.5000
Rh 0.3644 0.1356 0.5000
Rh 0.6356 0.8644 0.5000
Rh 0.8644 0.3644 0.5000

Top 6 peaks for 2θ from 5° to 70°, in order of falling intensity:
2θ 36.29, d 2.475, rel. 100; 2θ 37.19, d 2.418, rel. 40; 2θ 34.27, d 2.616, rel. 26; 2θ 55.80, d 1.647, rel. 19; 2θ 64.69, d 1.441, rel. 16; 2θ 26.06, d 3.419, rel. 15



Entry 5:
For CePr4O10, a structure optimized by DFT (GGA-PBE) gives the theoretical powder diffraction line list in this record (Cu Kα (weighted mean of Kα1 and Kα2)).
No peak broadening, texture or thermal motion is included.

Crystal structure
a = 14.8971 Å, b = 14.8971 Å, c = 14.8971 Å
α = 164.76°, β = 164.76°, γ = 21.61°
Fractional coordinates of all 15 atoms:
Ce 0.0000 0.0000 0.0000
Pr 0.1988 0.1988 0.0000
Pr 0.4055 0.4055 0.0000
Pr 0.5945 0.5945 0.0000
Pr 0.8012 0.8012 0.0000
O 0.0456 0.5456 0.5000
O 0.1474 0.6474 0.5000
O 0.2500 0.7500 0.5000
O 0.3526 0.8526 0.5000
O 0.4544 0.9544 0.5000
O 0.5456 0.0456 0.5000
O 0.6474 0.1474 0.5000
O 0.7500 0.2500 0.5000
O 0.8526 0.3526 0.5000
O 0.9544 0.4544 0.5000

Top 6 peaks for 2θ from 5° to 70°, in order of falling intensity:
2θ 27.24, d 3.274, rel. 100; 2θ 44.86, d 2.021, rel. 37; 2θ 54.24, d 1.691, rel. 29; 2θ 32.04, d 2.793, rel. 19; 2θ 45.95, d 1.975, rel. 18; 2θ 52.30, d 1.749, rel. 15



Entry 6:
For NdSi3Ru, a structure optimized by DFT (GGA-PBE) gives the theoretical powder diffraction line list in this record (Cu Kα (weighted mean of Kα1 and Kα2)).
No peak broadening, texture or thermal motion is included.

Crystal structure
a = 4.2365 Å, b = 4.2365 Å, c = 9.9457 Å
α = 90.00°, β = 90.00°, γ = 90.00°
Fractional coordinates of all 10 atoms:
Nd 0.0000 0.0000 0.0000
Nd 0.5000 0.5000 0.5000
Si 0.0000 0.0000 0.4189
Si 0.0000 0.5000 0.2619
Si 0.0000 0.5000 0.7619
Si 0.5000 0.0000 0.2619
Si 0.5000 0.0000 0.7619
Si 0.5000 0.5000 0.9189
Ru 0.0000 0.0000 0.6559
Ru 0.5000 0.5000 0.1559

Top 6 peaks for 2θ from 5° to 70°, in order of falling intensity:
2θ 34.35, d 2.611, rel. 100; 2θ 34.97, d 2.566, rel. 60; 2θ 29.83, d 2.996, rel. 58; 2θ 42.69, d 2.118, rel. 50; 2θ 55.90, d 1.645, rel. 49; 2θ 22.82, d 3.898, rel. 42



Entry 7:
For AgP15, a structure optimized by DFT (GGA-PBE) gives the theoretical powder diffraction line list in this record (Cu Kα (weighted mean of Kα1 and Kα2)).
No peak broadening, texture or thermal motion is included.

Crystal structure
a = 7.2879 Å, b = 9.2141 Å, c = 11.5511 Å
α = 101.16°, β = 96.52°, γ = 108.39°
Fractional coordinates of all 32 atoms:
Ag 0.1742 0.2725 0.0029
Ag 0.8258 0.7275 0.9971
P 0.0389 0.8352 0.8472
P 0.0480 0.4547 0.7268
P 0.1006 0.2390 0.3470
P 0.1262 0.6491 0.1435
P 0.1726 0.8276 0.5782
P 0.1770 0.4967 0.3949
P 0.2055 0.0757 0.6541
P 0.2319 0.6883 0.8418
P 0.2660 0.0784 0.8497
P 0.2884 0.8783 0.2742
P 0.3600 0.5492 0.1243
P 0.4011 0.7803 0.7091
P 0.4472 0.5667 0.3141
P 0.4641 0.9948 0.1538
P 0.4934 0.1797 0.6040
P 0.5066 0.8203 0.3960
P 0.5359 0.0052 0.8462
P 0.5528 0.4333 0.6859
P 0.5989 0.2197 0.2909
P 0.6400 0.4508 0.8757
P 0.7116 0.1217 0.7258
P 0.7340 0.9216 0.1503
P 0.7681 0.3117 0.1582
P 0.7945 0.9243 0.3459
P 0.8230 0.5033 0.6051
P 0.8274 0.1724 0.4218
P 0.8738 0.3509 0.8565
P 0.8994 0.7610 0.6530
P 0.9520 0.5453 0.2732
P 0.9611 0.1648 0.1528

Top 6 peaks for 2θ from 5° to 70°, in order of falling intensity:
2θ 15.72, d 5.639, rel. 100; 2θ 27.59, d 3.233, rel. 86; 2θ 7.94, d 11.131, rel. 73; 2θ 28.48, d 3.134, rel. 64; 2θ 34.59, d 2.593, rel. 51; 2θ 21.07, d 4.217, rel. 50